The following is a calculated powder diffractogram of Pr2SnHg. It was derived from a GGA-PBE-relaxed structure, using a wavelength of 1.5418 Å.
Intensities are scaled so that the largest is 100.

Structure:
Cell: 7.7681 7.7681 7.7681 Å, 90.00 90.00 90.00°
Space group Fm-3m (No. 225)
Symmetry-distinct sites (fractional):
Pr (0.2500, 0.2500, 0.2500) [8 per cell]
Sn (0.0000, 0.0000, 0.0000) [4 per cell]
Hg (0.0000, 0.0000, 0.5000) [4 per cell]

The 8 most intense peaks (2θ from 5° to 70°), by angle:
Position (°2θ)	I_rel
19.80	4
32.60	100
38.43	2
46.78	18
51.26	1
58.18	39
62.09	1
68.31	12

The following is a calculated powder diffractogram of Pr2ZnHg. It was derived from a GGA-PBE-relaxed structure, using a wavelength of 1.5418 Å.
Intensities are scaled so that the largest is 100.

Structure:
Cell: 7.6119 7.6119 7.6119 Å, 90.00 90.00 90.00°
Space group Fm-3m (No. 225)
Symmetry-distinct sites (fractional):
Pr (0.2500, 0.2500, 0.2500) [8 per cell]
Zn (0.0000, 0.0000, 0.0000) [4 per cell]
Hg (0.0000, 0.0000, 0.5000) [4 per cell]

The 8 most intense peaks (2θ from 5° to 70°), by angle:
Position (°2θ)	I_rel
20.21	12
33.29	100
39.25	7
47.80	18
52.39	3
59.49	38
63.51	2
69.91	12

The following is a calculated powder diffractogram of Hg2Pt. It was derived from a GGA-PBE-relaxed structure, using a wavelength of 1.5418 Å.
Intensities are scaled so that the largest is 100.

Structure:
Cell: 4.8394 4.8394 2.9891 Å, 90.00 90.00 90.00°
Space group P4/mmm (No. 123)
Symmetry-distinct sites (fractional):
Hg (0.0000, 0.5000, 0.0000) [2 per cell]
Pt (0.0000, 0.0000, 0.5000) [1 per cell]

The 10 most intense peaks (2θ from 5° to 70°), by angle:
Position (°2θ)	I_rel
18.33	37
26.04	19
35.29	15
37.16	61
40.05	100
41.74	9
48.40	7
52.18	10
53.56	22
68.94	41

The following is a calculated powder diffractogram of Hg3Pt. It was derived from a GGA-PBE-relaxed structure, using a wavelength of 1.5418 Å.
Intensities are scaled so that the largest is 100.

Structure:
Cell: 4.3442 4.3442 4.3442 Å, 90.00 90.00 90.00°
Space group Pm-3m (No. 221)
Symmetry-distinct sites (fractional):
Hg (0.0000, 0.0000, 0.5000) [3 per cell]
Pt (0.5000, 0.5000, 0.5000) [1 per cell]

The 3 most intense peaks (2θ from 5° to 70°), by angle:
Position (°2θ)	I_rel
35.80	100
41.58	50
60.26	34

The following is a calculated powder diffractogram of HgPt3. It was derived from a GGA-PBE-relaxed structure, using a wavelength of 1.5418 Å.
Intensities are scaled so that the largest is 100.

Structure:
Cell: 5.8288 7.9452 2.9057 Å, 90.00 90.00 90.00°
Space group Cmmm (No. 65)
Symmetry-distinct sites (fractional):
Hg (0.0000, 0.0000, 0.0000) [2 per cell]
Pt (0.0000, 0.5000, 0.0000) [2 per cell]
Pt (0.2500, 0.2500, 0.5000) [4 per cell]

The 6 most intense peaks (2θ from 5° to 70°), by angle:
Position (°2θ)	I_rel
38.34	100
44.01	34
45.68	15
63.88	6
64.10	6
65.29	21